Calculated XRD peak list of MgV4P4O20 for Cu Ka, from a GGA+U-relaxed structure.
Peak positions follow from Bragg's law for the DFT cell and can differ from measured ones.

Top 10 peaks for 2θ from 10° to 80°, low angle first:
- 2θ = 18.40°, rel. 27.9
- 2θ = 19.10°, rel. 11.6
- 2θ = 24.28°, rel. 13.0
- 2θ = 27.04°, rel. 43.7
- 2θ = 27.29°, rel. 16.1
- 2θ = 27.72°, rel. 100.0
- 2θ = 27.88°, rel. 27.8
- 2θ = 43.98°, rel. 14.0
- 2θ = 57.21°, rel. 11.6
- 2θ = 57.33°, rel. 17.9

Crystal structure
a b c (Å): 5.275 7.341 10.180
angles (deg): 70.22 75.94 69.13
Space group P-1 (No. 2)
Symmetry-distinct sites (fractional):
1 Mg 0.000 0.000 0.000 x1
2 V 0.000 0.500 0.500 x1
3 V 0.480 0.250 0.259 x2
4 V 0.500 0.000 0.000 x1
5 P 0.115 0.941 0.315 x2
6 P 0.126 0.451 0.813 x2
7 O 0.146 0.732 0.418 x2
8 O 0.171 0.240 0.923 x2
9 O 0.176 0.422 0.157 x2
10 O 0.176 0.427 0.662 x2
11 O 0.193 0.930 0.672 x2
12 O 0.206 0.926 0.160 x2
13 O 0.295 0.041 0.346 x2
14 O 0.323 0.551 0.831 x2
15 O 0.328 0.346 0.400 x2
16 O 0.402 0.866 0.909 x2